# 1
Diffraction record for FeH2C2N4. The powder X-ray diffraction pattern is theoretical, not measured: it uses a cell relaxed with PBE and Cu Kα (λ = 1.5418 Å).
Intensities are scaled so that the largest is 100.

Structure:
```
data_FeH2C2N4
_cell_length_a 6.3549
_cell_length_b 8.3395
_cell_length_c 3.1813
_cell_angle_alpha 90.00
_cell_angle_beta 90.00
_cell_angle_gamma 90.00
_space_group_name_H-M_alt 'P n n m'
_space_group_IT_number 58
loop_
_space_group_symop_operation_xyz
'x,y,z'
'-x,-y,-z'
'-x,-y,z'
'x,y,-z'
'x+1/2,-y+1/2,-z+1/2'
'-x+1/2,y+1/2,z+1/2'
'-x+1/2,y+1/2,-z+1/2'
'x+1/2,-y+1/2,z+1/2'
loop_
_atom_site_label
_atom_site_type_symbol
_atom_site_fract_x
_atom_site_fract_y
_atom_site_fract_z
_atom_site_occupancy
Fe1 Fe 0.0000 0.0000 0.0000 1
H1 H 0.2016 0.4289 0.0000 1
C1 C 0.1760 0.6609 0.0000 1
N1 N 0.0867 0.7851 0.0000 1
N2 N 0.2065 0.0302 0.5000 1
```

Main lines, sorted by position (2θ = 10–90°):
- 2θ = 17.55°, I 100.0, hkl 1 1 0
- 2θ = 21.31°, I 19.1, hkl 0 2 0
- 2θ = 31.45°, I 39.3, hkl 1 0 1
- 2θ = 35.24°, I 13.9, hkl 1 3 0
- 2θ = 41.61°, I 39.2, hkl 2 1 1
- 2θ = 56.68°, I 11.9, hkl 3 2 1

=====

# 2
Diffraction record for FeH12C4S4N10. The powder X-ray diffraction pattern is theoretical, not measured: it uses a cell relaxed with PBE and Cu Kα (λ = 1.5418 Å).
Intensities are scaled so that the largest is 100.

Structure:
```
data_FeH12C4S4N10
_cell_length_a 5.5043
_cell_length_b 8.2908
_cell_length_c 8.9802
_cell_angle_alpha 79.11
_cell_angle_beta 83.81
_cell_angle_gamma 86.97
_space_group_name_H-M_alt 'P -1'
_space_group_IT_number 2
loop_
_space_group_symop_operation_xyz
'x,y,z'
'-x,-y,-z'
loop_
_atom_site_label
_atom_site_type_symbol
_atom_site_fract_x
_atom_site_fract_y
_atom_site_fract_z
_atom_site_occupancy
Fe1 Fe 0.0000 0.0000 0.0000 1
H1 H 0.0083 0.7348 0.4026 1
H2 H 0.1567 0.3054 0.2862 1
H3 H 0.2069 0.2855 0.0212 1
H4 H 0.2077 0.5966 0.4850 1
H5 H 0.3422 0.8700 0.4878 1
H6 H 0.3694 0.1344 0.1177 1
C1 C 0.1129 0.8598 0.6845 1
C2 C 0.3428 0.6927 0.1482 1
S1 S 0.2558 0.0099 0.7456 1
S2 S 0.4847 0.4605 0.7808 1
N1 N 0.0804 0.6874 0.5032 1
N2 N 0.0839 0.2172 0.2394 1
N3 N 0.1939 0.1786 0.1008 1
N4 N 0.1956 0.8127 0.5517 1
N5 N 0.2189 0.8072 0.0955 1
```

Main lines, sorted by position (2θ = 10–90°):
- 2θ = 10.08°, I 37.2, hkl 0 0 1
- 2θ = 10.87°, I 79.7, hkl 0 1 0
- 2θ = 16.19°, I 38.2, hkl 0 1 -1
- 2θ = 19.25°, I 80.6, hkl 1 1 0
- 2θ = 22.50°, I 100.0, hkl 1 -1 1
- 2θ = 27.30°, I 49.3, hkl 1 0 -2

=====

# 3
Diffraction record for FeHgC4S4N4. The powder X-ray diffraction pattern is theoretical, not measured: it uses a cell relaxed with PBE and Cu Kα (λ = 1.5418 Å).
Intensities are scaled so that the largest is 100.

Structure:
```
data_FeHgC4S4N4
_cell_length_a 11.2869
_cell_length_b 11.2869
_cell_length_c 4.7998
_cell_angle_alpha 90.00
_cell_angle_beta 90.00
_cell_angle_gamma 90.00
_space_group_name_H-M_alt 'I -4'
_space_group_IT_number 82
loop_
_space_group_symop_operation_xyz
'x,y,z'
'y,-x,-z'
'-x,-y,z'
'-y,x,-z'
'x+1/2,y+1/2,z+1/2'
'y+1/2,-x+1/2,-z+1/2'
'-x+1/2,-y+1/2,z+1/2'
'-y+1/2,x+1/2,-z+1/2'
loop_
_atom_site_label
_atom_site_type_symbol
_atom_site_fract_x
_atom_site_fract_y
_atom_site_fract_z
_atom_site_occupancy
Fe1 Fe 0.0000 0.0000 0.0000 1
Hg1 Hg 0.0000 0.5000 0.2500 1
C1 C 0.0755 0.2208 0.3525 1
S1 S 0.1167 0.3365 0.5315 1
N1 N 0.0477 0.1354 0.2258 1
```

Main lines, sorted by position (2θ = 10–90°):
- 2θ = 11.09°, I 66.1, hkl 1 1 0
- 2θ = 15.70°, I 93.7, hkl 2 0 0
- 2θ = 20.10°, I 76.2, hkl 1 0 1
- 2θ = 25.61°, I 100.0, hkl 2 1 1
- 2θ = 30.18°, I 50.4, hkl 3 0 1
- 2θ = 45.53°, I 57.0, hkl 1 3 2

=====

Please write out number 1 again, unchanged.
Diffraction record for FeH2C2N4. The powder X-ray diffraction pattern is theoretical, not measured: it uses a cell relaxed with PBE and Cu Kα (λ = 1.5418 Å).
Intensities are scaled so that the largest is 100.

Structure:
```
data_FeH2C2N4
_cell_length_a 6.3549
_cell_length_b 8.3395
_cell_length_c 3.1813
_cell_angle_alpha 90.00
_cell_angle_beta 90.00
_cell_angle_gamma 90.00
_space_group_name_H-M_alt 'P n n m'
_space_group_IT_number 58
loop_
_space_group_symop_operation_xyz
'x,y,z'
'-x,-y,-z'
'-x,-y,z'
'x,y,-z'
'x+1/2,-y+1/2,-z+1/2'
'-x+1/2,y+1/2,z+1/2'
'-x+1/2,y+1/2,-z+1/2'
'x+1/2,-y+1/2,z+1/2'
loop_
_atom_site_label
_atom_site_type_symbol
_atom_site_fract_x
_atom_site_fract_y
_atom_site_fract_z
_atom_site_occupancy
Fe1 Fe 0.0000 0.0000 0.0000 1
H1 H 0.2016 0.4289 0.0000 1
C1 C 0.1760 0.6609 0.0000 1
N1 N 0.0867 0.7851 0.0000 1
N2 N 0.2065 0.0302 0.5000 1
```

Main lines, sorted by position (2θ = 10–90°):
- 2θ = 17.55°, I 100.0, hkl 1 1 0
- 2θ = 21.31°, I 19.1, hkl 0 2 0
- 2θ = 31.45°, I 39.3, hkl 1 0 1
- 2θ = 35.24°, I 13.9, hkl 1 3 0
- 2θ = 41.61°, I 39.2, hkl 2 1 1
- 2θ = 56.68°, I 11.9, hkl 3 2 1

=====

Q: Which formula does entry 1 have?
A: FeH2C2N4